Computed powder XRD pattern of Sr6GaAg for λ = 1.5418 Å (Cu Kα), from a DFT-relaxed cell (PBE, Alexandria).
Kinematic intensities with the Lorentz-polarization factor, no thermal factor.

Principal peaks in the range 10° ≤ 2θ ≤ 90°, in order of rising 2θ:
d [Å]  Rel. int.
3.172  100.0
2.851  55.8
2.611  21.6
2.167  18.3
2.016  20.3
1.701  31.6

a b c (Å): 5.7023 5.7023 20.5532
angles (deg): 90.00 90.00 90.00
Fractional coordinates of all 16 atoms:
Sr: 0.0000 0.0000 0.2483
Sr: 0.0000 0.0000 0.7517
Sr: 0.0000 0.5000 0.0900
Sr: 0.0000 0.5000 0.4100
Sr: 0.0000 0.5000 0.5900
Sr: 0.0000 0.5000 0.9100
Sr: 0.5000 0.0000 0.0900
Sr: 0.5000 0.0000 0.4100
Sr: 0.5000 0.0000 0.5900
Sr: 0.5000 0.0000 0.9100
Sr: 0.5000 0.5000 0.2517
Sr: 0.5000 0.5000 0.7483
Ga: 0.0000 0.0000 0.0000
Ga: 0.5000 0.5000 0.5000
Ag: 0.0000 0.0000 0.5000
Ag: 0.5000 0.5000 0.0000